Calculated powder diffraction line list of Li3CuF6 for Cu Kα, 1.54184 Å, from DFT lattice parameters and positions (GGA-PBE).

Peak list (6 most intense, 15 to 90 degrees two-theta, by intensity)
| d (Å) | intensity | (hkl) |
| --- | --- | --- |
| 4.227 | 100 | 2 1 0 |
| 4.326 | 47 | 0 1 1 |
| 3.503 | 32 | 2 0 1 |
| 2.197 | 32 | 2 3 1 |
| 2.698 | 32 | 2 2 1 |
| 1.732 | 25 | 4 3 1 |

Cell and atoms:
abc: 9.7570 8.4605 5.0343
angles: 90.00 90.00 90.00
Atoms (fractional coordinates):
1 Li 0.1046 0.0516 0.0000
2 Li 0.1238 0.6367 0.5132
3 Li 0.1489 0.4461 0.0105
4 Li 0.3511 0.9461 0.5105
5 Li 0.3762 0.1367 0.0132
6 Li 0.3954 0.5516 0.5000
7 Li 0.6046 0.4484 0.0000
8 Li 0.6238 0.8633 0.5132
9 Li 0.6489 0.0539 0.0105
10 Li 0.8511 0.5539 0.5105
11 Li 0.8762 0.3633 0.0132
12 Li 0.8954 0.9484 0.5000
13 Cu 0.1292 0.2598 0.5076
14 Cu 0.3708 0.7598 0.0076
15 Cu 0.6292 0.2402 0.5076
16 Cu 0.8708 0.7402 0.0076
17 F 0.0137 0.4183 0.3304
18 F 0.0240 0.2554 0.8313
19 F 0.0256 0.0934 0.3507
20 F 0.2278 0.4386 0.6536
21 F 0.2398 0.2648 0.1926
22 F 0.2462 0.1096 0.6914
23 F 0.2538 0.6096 0.1914
24 F 0.2602 0.7648 0.6926
25 F 0.2722 0.9386 0.1536
26 F 0.4744 0.5934 0.8507
27 F 0.4760 0.7554 0.3313
28 F 0.4863 0.9183 0.8304
29 F 0.5137 0.0817 0.3304
30 F 0.5240 0.2446 0.8313
31 F 0.5256 0.4066 0.3507
32 F 0.7278 0.0614 0.6536
33 F 0.7398 0.2352 0.1926
34 F 0.7462 0.3904 0.6914
35 F 0.7538 0.8904 0.1914
36 F 0.7602 0.7352 0.6926
37 F 0.7722 0.5614 0.1536
38 F 0.9744 0.9066 0.8507
39 F 0.9760 0.7446 0.3313
40 F 0.9863 0.5817 0.8304